PbIBrO4: computed XRD peak list (copper Kα), based on a GGA-PBE-relaxed structure.

Top 8 peaks for 2θ from 10° to 80°, most intense first:
| d_spacing | Position (°2θ) | I (rel.) | hkl |
| --- | --- | --- | --- |
| 3.953 | 22.5 | 100 | 0 2 0 |
| 3.409 | 26.1 | 95 | 3 1 -1 |
| 3.832 | 23.2 | 49 | 2 0 1 |
| 7.169 | 12.3 | 40 | 0 0 1 |
| 2.161 | 41.8 | 36 | 3 3 -1 |
| 2.751 | 32.5 | 29 | 2 2 1 |
| 3.585 | 24.8 | 27 | 0 0 2 |
| 2.878 | 31.1 | 26 | 3 1 -2 |

Crystal structure
a = 11.597 Å, b = 7.906 Å, c = 7.543 Å
α = 90.00°, β = 108.11°, γ = 90.00°
Space group C2/m (No. 12)
One atom of each set of equivalent atoms:
Pb: 0.198 0.000 0.136 [4 per cell]
I: 0.133 0.500 0.258 [4 per cell]
Br: 0.016 0.000 0.757 [4 per cell]
O: 0.029 0.500 0.814 [4 per cell]
O: 0.191 0.500 0.509 [4 per cell]
O: 0.194 0.320 0.168 [8 per cell]

***

Pm2Dy5HoSc: computed XRD peak list (copper Kα), based on a GGA-PBE-relaxed structure.

Top 8 peaks for 2θ from 10° to 80°, most intense first:
| d_spacing | Position (°2θ) | I (rel.) | hkl |
| --- | --- | --- | --- |
| 2.889 | 30.9 | 100 | 2 0 4 |
| 3.076 | 29.0 | 65 | 2 1 3 |
| 2.997 | 29.8 | 52 | 2 2 0 |
| 2.680 | 33.4 | 28 | 3 1 0 |
| 1.709 | 53.6 | 21 | 4 2 4 |
| 2.325 | 38.7 | 18 | 3 2 1 |
| 1.915 | 47.5 | 15 | 4 1 3 |
| 1.975 | 45.9 | 15 | 0 0 8 |

Crystal structure
a = 8.476 Å, b = 8.476 Å, c = 15.798 Å
α = 90.00°, β = 90.00°, γ = 90.00°
Space group I4/mcm (No. 140)
One atom of each set of equivalent atoms:
Pm: 0.120 0.380 0.000 [8 per cell]
Dy: 0.000 0.000 0.000 [4 per cell]
Dy: 0.210 0.290 0.357 [16 per cell]
Ho: 0.000 0.000 0.250 [4 per cell]
Sc: 0.000 0.500 0.250 [4 per cell]

***

MgZn6O6: computed XRD peak list (copper Kα), based on a GGA-PBE-relaxed structure.

Top 8 peaks for 2θ from 10° to 80°, most intense first:
| d_spacing | Position (°2θ) | I (rel.) | hkl |
| --- | --- | --- | --- |
| 2.567 | 35.0 | 100 | 2 1 0 |
| 4.059 | 21.9 | 80 | 1 1 0 |
| 2.343 | 38.4 | 64 | 2 1 1 |
| 1.657 | 55.5 | 41 | 2 2 2 |
| 1.534 | 60.3 | 30 | 3 2 1 |
| 2.870 | 31.2 | 29 | 2 0 0 |
| 1.592 | 57.9 | 24 | 3 0 2 |
| 1.435 | 65.0 | 22 | 4 0 0 |

Crystal structure
a = 5.740 Å, b = 5.740 Å, c = 5.740 Å
α = 90.00°, β = 90.00°, γ = 90.00°
Space group Pm-3 (No. 200)
One atom of each set of equivalent atoms:
Mg: 0.000 0.000 0.000 [1 per cell]
Zn: 0.000 0.251 0.500 [6 per cell]
O: 0.000 0.500 0.251 [6 per cell]

***

GaTcW3: computed XRD peak list (copper Kα), based on a GGA-PBE-relaxed structure.

Top 8 peaks for 2θ from 10° to 80°, most intense first:
| d_spacing | Position (°2θ) | I (rel.) | hkl |
| --- | --- | --- | --- |
| 2.608 | 34.4 | 100 | 1 1 1 |
| 2.258 | 39.9 | 79 | 2 0 0 |
| 1.597 | 57.7 | 54 | 2 2 0 |
| 1.362 | 69.0 | 41 | 3 1 1 |
| 4.517 | 19.7 | 21 | 1 0 0 |
| 1.304 | 72.5 | 18 | 2 2 2 |
| 2.020 | 44.9 | 11 | 2 1 0 |
| 1.506 | 61.6 | 5 | 3 0 0 |

Crystal structure
a = 4.517 Å, b = 4.517 Å, c = 4.517 Å
α = 90.00°, β = 90.00°, γ = 90.00°
Space group Pm-3m (No. 221)
One atom of each set of equivalent atoms:
Ga: 0.000 0.000 0.000 [1 per cell]
Tc: 0.500 0.500 0.500 [1 per cell]
W: 0.000 0.000 0.500 [3 per cell]

***

Er4ZnAu3: computed XRD peak list (copper Kα), based on a GGA-PBE-relaxed structure.

Top 8 peaks for 2θ from 10° to 80°, most intense first:
| d_spacing | Position (°2θ) | I (rel.) | hkl |
| --- | --- | --- | --- |
| 2.514 | 35.7 | 100 | 1 0 4 |
| 2.523 | 35.6 | 51 | 1 1 0 |
| 1.455 | 64.0 | 37 | 2 1 4 |
| 1.784 | 51.2 | 18 | 2 0 0 |
| 1.449 | 64.3 | 18 | 1 1 8 |
| 1.257 | 75.7 | 11 | 2 0 8 |
| 1.771 | 51.6 | 9 | 0 0 8 |
| 1.262 | 75.3 | 6 | 2 2 0 |

Crystal structure
a = 3.568 Å, b = 3.568 Å, c = 14.164 Å
α = 90.00°, β = 90.00°, γ = 90.00°
Space group P4/mmm (No. 123)
One atom of each set of equivalent atoms:
Er: 0.000 0.000 0.123 [2 per cell]
Er: 0.000 0.000 0.373 [2 per cell]
Zn: 0.500 0.500 0.000 [1 per cell]
Au: 0.500 0.500 0.245 [2 per cell]
Au: 0.500 0.500 0.500 [1 per cell]

***

LiNbIO6: computed XRD peak list (copper Kα), based on a GGA-PBE-relaxed structure.

Top 8 peaks for 2θ from 10° to 80°, most intense first:
| d_spacing | Position (°2θ) | I (rel.) | hkl |
| --- | --- | --- | --- |
| 4.865 | 18.2 | 100 | 0 0 2 |
| 2.349 | 38.3 | 82 | 1 1 2 |
| 4.645 | 19.1 | 72 | 1 0 0 |
| 3.360 | 26.5 | 62 | 1 0 2 |
| 1.802 | 50.7 | 52 | 1 1 4 |
| 2.682 | 33.4 | 38 | 1 1 0 |
| 1.476 | 63.0 | 19 | 3 0 2 |
| 1.548 | 59.7 | 19 | 3 0 0 |

Crystal structure
a = 5.3641 Å, b = 5.3641 Å, c = 9.7294 Å
α = 90.00°, β = 90.00°, γ = 120.00°
Space group P-31c (No. 163)
One atom of each set of equivalent atoms:
Li: 0.0000 0.0000 0.0000 [2 per cell]
Nb: 0.3333 0.6667 0.2500 [2 per cell]
I: 0.3333 0.6667 0.7500 [2 per cell]
O: 0.0048 0.3760 0.6370 [12 per cell]